Record 1
Diffraction record for SmHo3Th5. The XRD peak list is simulated, not measured: it uses a crystal structure in Alexandria, relaxed with GGA-PBE and λ = 1.5418 Å (Cu Kα).

The 10 most intense peaks (5° ≤ 2θ ≤ 70°), by angle:
2θ (°), I (rel.)
28.63, 43
29.99, 49
30.17, 100
33.63, 12
38.88, 22
44.66, 12
47.40, 12
53.37, 24
53.71, 12
59.65, 13

Crystal structure
```
data_SmHo3Th5
_space_group_name_H-M_alt 'I 4/m c m'
_space_group_IT_number 140
_space_group_name_Hall '-I 4 2c'
_cell_length_a 8.426
_cell_length_b 8.426
_cell_length_c 16.658
_cell_angle_alpha 90.00
_cell_angle_beta 90.00
_cell_angle_gamma 90.00
loop_
_atom_site_label
_atom_site_type_symbol
_atom_site_fract_x
_atom_site_fract_y
_atom_site_fract_z
Sm1 Sm 0.000 0.500 0.250
Ho1 Ho 0.000 0.000 0.250
Ho2 Ho 0.119 0.381 0.000
Th1 Th 0.000 0.000 0.000
Th2 Th 0.215 0.285 0.357
```

Record 2
Diffraction record for Sm2Ho9Th. The XRD peak list is simulated, not measured: it uses a crystal structure in Alexandria, relaxed with GGA-PBE and λ = 1.5418 Å (Cu Kα).

The 6 most intense peaks (5° ≤ 2θ ≤ 70°), by angle:
2θ (°), I (rel.)
5.88, 2
30.89, 100
35.82, 51
51.56, 36
61.33, 43
64.37, 12

Crystal structure
```
data_Sm2Ho9Th
_space_group_name_H-M_alt 'P 4/m m m'
_space_group_IT_number 123
_space_group_name_Hall '-P 4 2'
_cell_length_a 5.015
_cell_length_b 5.015
_cell_length_c 15.033
_cell_angle_alpha 90.00
_cell_angle_beta 90.00
_cell_angle_gamma 90.00
loop_
_atom_site_label
_atom_site_type_symbol
_atom_site_fract_x
_atom_site_fract_y
_atom_site_fract_z
Sm1 Sm 0.000 0.000 0.167
Ho1 Ho 0.000 0.500 0.000
Ho2 Ho 0.000 0.500 0.336
Ho3 Ho 0.500 0.500 0.166
Ho4 Ho 0.500 0.500 0.500
Th1 Th 0.000 0.000 0.500
```

Record 3
Diffraction record for Sm2Ho5Th3. The XRD peak list is simulated, not measured: it uses a crystal structure in Alexandria, relaxed with GGA-PBE and λ = 1.5418 Å (Cu Kα).

The 10 most intense peaks (5° ≤ 2θ ≤ 70°), by angle:
2θ (°), I (rel.)
7.83, 2
30.73, 100
35.59, 34
35.71, 17
51.21, 12
51.30, 24
60.87, 15
60.97, 14
61.08, 14
64.00, 13

Crystal structure
```
data_Sm2Ho5Th3
_space_group_name_H-M_alt 'C 1 2/m 1'
_space_group_IT_number 12
_space_group_name_Hall '-C 2y'
_cell_length_a 11.278
_cell_length_b 5.029
_cell_length_c 11.285
_cell_angle_alpha 90.00
_cell_angle_beta 90.12
_cell_angle_gamma 90.00
loop_
_atom_site_label
_atom_site_type_symbol
_atom_site_fract_x
_atom_site_fract_y
_atom_site_fract_z
Sm1 Sm 0.098 0.000 0.298
Ho1 Ho 0.000 0.500 0.500
Ho2 Ho 0.200 0.000 0.602
Ho3 Ho 0.201 0.500 0.099
Th1 Th 0.000 0.000 0.000
Th2 Th 0.099 0.500 0.801
```

Record 4
Diffraction record for Sm2Ho12Th. The XRD peak list is simulated, not measured: it uses a crystal structure in Alexandria, relaxed with GGA-PBE and λ = 1.5418 Å (Cu Kα).

The 10 most intense peaks (5° ≤ 2θ ≤ 70°), by angle:
2θ (°), I (rel.)
30.35, 78
31.44, 92
31.59, 30
32.38, 100
33.00, 35
33.67, 53
35.97, 25
36.85, 21
56.58, 21
57.38, 26

Crystal structure
```
data_Sm2Ho12Th
_space_group_name_H-M_alt 'C 1 2/m 1'
_space_group_IT_number 12
_space_group_name_Hall '-C 2y'
_cell_length_a 7.017
_cell_length_b 11.381
_cell_length_c 24.222
_cell_angle_alpha 90.00
_cell_angle_beta 95.84
_cell_angle_gamma 90.00
loop_
_atom_site_label
_atom_site_type_symbol
_atom_site_fract_x
_atom_site_fract_y
_atom_site_fract_z
Sm1 Sm 0.202 0.000 0.229
Sm2 Sm 0.204 0.500 0.228
Ho1 Ho 0.006 0.000 0.629
Ho2 Ho 0.007 0.500 0.628
Ho3 Ho 0.012 0.250 0.700
Ho4 Ho 0.067 0.251 0.830
Ho5 Ho 0.097 0.000 0.924
Ho6 Ho 0.102 0.500 0.928
Ho7 Ho 0.145 0.253 0.055
Ho8 Ho 0.206 0.249 0.575
Th1 Th 0.247 0.500 0.501
```

Record 5
Diffraction record for Sm10Ho6Th. The XRD peak list is simulated, not measured: it uses a crystal structure in Alexandria, relaxed with GGA-PBE and λ = 1.5418 Å (Cu Kα).

The 10 most intense peaks (5° ≤ 2θ ≤ 70°), by angle:
2θ (°), I (rel.)
24.74, 6
30.90, 21
31.79, 100
45.59, 15
48.90, 7
56.03, 5
56.50, 10
56.70, 15
59.43, 5
62.83, 6

Crystal structure
```
data_Sm10Ho6Th
_space_group_name_H-M_alt 'P -3 1 m'
_space_group_IT_number 162
_space_group_name_Hall '-P 3 2'
_cell_length_a 9.7341
_cell_length_b 9.7341
_cell_length_c 6.9133
_cell_angle_alpha 90.00
_cell_angle_beta 90.00
_cell_angle_gamma 120.00
loop_
_atom_site_label
_atom_site_type_symbol
_atom_site_fract_x
_atom_site_fract_y
_atom_site_fract_z
Sm1 Sm 0.0000 0.2773 0.3207
Sm2 Sm 0.3333 0.6667 0.0000
Sm3 Sm 0.3333 0.6667 0.5000
Ho1 Ho 0.0000 0.3680 0.8125
Th1 Th 0.0000 0.0000 0.0000
```

Record 6
Diffraction record for Sm12Ho5Th. The XRD peak list is simulated, not measured: it uses a crystal structure in Alexandria, relaxed with GGA-PBE and λ = 1.5418 Å (Cu Kα).

The 7 most intense peaks (5° ≤ 2θ ≤ 70°), by angle:
2θ (°), I (rel.)
11.58, 1
30.42, 100
35.27, 51
50.73, 36
60.28, 29
60.38, 14
63.30, 12

Crystal structure
```
data_Sm12Ho5Th
_space_group_name_H-M_alt 'C m m m'
_space_group_IT_number 65
_space_group_name_Hall '-C 2 2'
_cell_length_a 15.249
_cell_length_b 15.283
_cell_length_c 5.092
_cell_angle_alpha 90.00
_cell_angle_beta 90.00
_cell_angle_gamma 90.00
loop_
_atom_site_label
_atom_site_type_symbol
_atom_site_fract_x
_atom_site_fract_y
_atom_site_fract_z
Sm1 Sm 0.000 0.164 0.000
Sm2 Sm 0.000 0.335 0.500
Sm3 Sm 0.166 0.165 0.500
Sm4 Sm 0.166 0.335 0.000
Ho1 Ho 0.000 0.500 0.000
Ho2 Ho 0.164 0.000 0.000
Ho3 Ho 0.167 0.500 0.500
Th1 Th 0.000 0.000 0.500
```

Record 7
Diffraction record for Sm5HoTh. The XRD peak list is simulated, not measured: it uses a crystal structure in Alexandria, relaxed with GGA-PBE and λ = 1.5418 Å (Cu Kα).

The 10 most intense peaks (5° ≤ 2θ ≤ 70°), by angle:
2θ (°), I (rel.)
24.84, 15
28.83, 24
31.16, 47
31.47, 100
32.12, 46
32.42, 32
32.53, 28
45.89, 18
55.64, 14
56.59, 15

Crystal structure
```
data_Sm5HoTh
_space_group_name_H-M_alt 'C 1 2/c 1'
_space_group_IT_number 15
_space_group_name_Hall '-C 2yc'
_cell_length_a 8.740
_cell_length_b 9.815
_cell_length_c 11.632
_cell_angle_alpha 90.00
_cell_angle_beta 109.36
_cell_angle_gamma 90.00
loop_
_atom_site_label
_atom_site_type_symbol
_atom_site_fract_x
_atom_site_fract_y
_atom_site_fract_z
Sm1 Sm 0.000 0.094 0.250
Sm2 Sm 0.122 0.433 0.166
Sm3 Sm 0.169 0.101 0.034
Ho1 Ho 0.000 0.252 0.750
Th1 Th 0.250 0.250 0.500
```

Record 8
Diffraction record for Sm11Ho9Th4. The XRD peak list is simulated, not measured: it uses a crystal structure in Alexandria, relaxed with GGA-PBE and λ = 1.5418 Å (Cu Kα).

The 10 most intense peaks (5° ≤ 2θ ≤ 70°), by angle:
2θ (°), I (rel.)
29.80, 100
30.74, 25
32.05, 91
32.13, 71
32.49, 14
33.86, 17
49.24, 19
54.44, 14
57.86, 12
58.63, 27

Crystal structure
```
data_Sm11Ho9Th4
_space_group_name_H-M_alt 'C m m m'
_space_group_IT_number 65
_space_group_name_Hall '-C 2 2'
_cell_length_a 16.932
_cell_length_b 25.509
_cell_length_c 3.701
_cell_angle_alpha 90.00
_cell_angle_beta 90.00
_cell_angle_gamma 90.00
loop_
_atom_site_label
_atom_site_type_symbol
_atom_site_fract_x
_atom_site_fract_y
_atom_site_fract_z
Sm1 Sm 0.000 0.000 0.000
Sm2 Sm 0.000 0.158 0.000
Sm3 Sm 0.000 0.367 0.000
Sm4 Sm 0.209 0.500 0.000
Sm5 Sm 0.227 0.181 0.000
Ho1 Ho 0.000 0.500 0.500
Ho2 Ho 0.101 0.264 0.500
Ho3 Ho 0.139 0.073 0.500
Th1 Th 0.157 0.398 0.500
```